Theoretical X-ray powder pattern
Compound: CeTh5Sn3
Radiation: Cu Ka
Structure: a GGA-PBE-relaxed structure
Intensities are scaled so that the largest is 100.

Structure:
```
data_CeTh5Sn3
_chemical_formula_sum 'Ce4 Th20 Sn12'
_cell_length_a 8.0304
_cell_length_b 8.0304
_cell_length_c 16.9282
_cell_angle_alpha 90.00
_cell_angle_beta 90.00
_cell_angle_gamma 90.00
_symmetry_space_group_name_H-M 'I 4/m c m'
_symmetry_Int_Tables_number 140
_symmetry_space_group_name_Hall '-I 4 2c'
loop_
_atom_site_label
_atom_site_type_symbol
_atom_site_fract_x
_atom_site_fract_y
_atom_site_fract_z
Ce1 Ce 0.0000 0.5000 0.2500
Th1 Th 0.0000 0.0000 0.0000
Th2 Th 0.1825 0.3175 0.1354
Sn1 Sn 0.0000 0.0000 0.2500
Sn2 Sn 0.1254 0.3746 0.5000
```

Most intense lines, 10° ≤ 2θ ≤ 90°, sorted by position:
- (2 1 1), 25.4°, 3.513 Å, rel. 15
- (2 1 3), 29.5°, 3.030 Å, rel. 92
- (2 0 4), 30.7°, 2.913 Å, rel. 100
- (2 2 0), 31.5°, 2.839 Å, rel. 32
- (3 1 0), 35.3°, 2.539 Å, rel. 29
- (2 1 5), 36.5°, 2.464 Å, rel. 23
- (0 0 8), 42.7°, 2.116 Å, rel. 21
- (4 1 1), 47.0°, 1.935 Å, rel. 16
- (4 1 3), 49.5°, 1.841 Å, rel. 22
- (3 3 4), 53.0°, 1.728 Å, rel. 15
- (3 1 8), 56.6°, 1.626 Å, rel. 13
- (4 1 7), 61.1°, 1.517 Å, rel. 15


Theoretical X-ray powder pattern
Compound: KVCl6
Radiation: Cu Ka
Structure: a GGA-PBE-relaxed structure
Intensities are scaled so that the largest is 100.

Structure:
```
data_KVCl6
_chemical_formula_sum 'K2 V2 Cl12'
_cell_length_a 7.9709
_cell_length_b 9.5133
_cell_length_c 6.3844
_cell_angle_alpha 90.00
_cell_angle_beta 109.73
_cell_angle_gamma 90.00
_symmetry_space_group_name_H-M 'C 1 2/m 1'
_symmetry_Int_Tables_number 12
loop_
_symmetry_equiv_pos_as_xyz
'x,y,z'
'-x,-y,-z'
'-x,y,-z'
'x,-y,z'
'x+1/2,y+1/2,z'
'-x+1/2,-y+1/2,-z'
'-x+1/2,y+1/2,-z'
'x+1/2,-y+1/2,z'
loop_
_atom_site_label
_atom_site_type_symbol
_atom_site_fract_x
_atom_site_fract_y
_atom_site_fract_z
K1 K 0.0000 0.0000 0.0000
V1 V 0.0000 0.5000 0.5000
Cl1 Cl 0.0999 0.3309 0.7662
Cl2 Cl 0.2312 0.0000 0.5512
```

Most intense lines, 10° ≤ 2θ ≤ 90°, sorted by position:
- (0 0 1), 14.7°, 6.010 Å, rel. 37
- (1 1 0), 15.0°, 5.891 Å, rel. 59
- (1 1 -1), 18.1°, 4.907 Å, rel. 100
- (0 2 0), 18.7°, 4.757 Å, rel. 38
- (0 2 1), 23.9°, 3.730 Å, rel. 41
- (2 2 -1), 30.0°, 2.975 Å, rel. 43
- (1 3 0), 30.6°, 2.921 Å, rel. 37
- (2 0 1), 32.1°, 2.788 Å, rel. 50
- (3 1 -1), 35.2°, 2.551 Å, rel. 77
- (0 2 2), 35.3°, 2.540 Å, rel. 90
- (1 3 1), 35.9°, 2.501 Å, rel. 70
- (3 3 -3), 56.2°, 1.635 Å, rel. 42


Theoretical X-ray powder pattern
Compound: LiAg4Pt
Radiation: Cu Ka
Structure: a GGA-PBE-relaxed structure
Intensities are scaled so that the largest is 100.

Structure:
```
data_LiAg4Pt
_chemical_formula_sum 'Li2 Ag8 Pt2'
_cell_length_a 5.6918
_cell_length_b 7.3998
_cell_length_c 5.6799
_cell_angle_alpha 90.00
_cell_angle_beta 90.00
_cell_angle_gamma 90.00
_symmetry_space_group_name_H-M 'C m m m'
_symmetry_Int_Tables_number 65
_symmetry_space_group_name_Hall '-C 2 2'
loop_
_atom_site_label
_atom_site_type_symbol
_atom_site_fract_x
_atom_site_fract_y
_atom_site_fract_z
Li1 Li 0.0000 0.0000 0.0000
Ag1 Ag 0.2500 0.2500 0.2472
Pt1 Pt 0.0000 0.5000 0.5000
```

Most intense lines, 10° ≤ 2θ ≤ 90°, sorted by position:
- (0 0 1), 15.6°, 5.680 Å, rel. 19
- (1 1 0), 19.7°, 4.512 Å, rel. 25
- (0 2 0), 24.1°, 3.700 Å, rel. 15
- (1 1 1), 25.2°, 3.533 Å, rel. 31
- (0 2 1), 28.8°, 3.100 Å, rel. 11
- (2 0 0), 31.5°, 2.843 Å, rel. 15
- (2 2 0), 40.0°, 2.254 Å, rel. 100
- (2 0 2), 45.1°, 2.010 Å, rel. 35
- (0 4 0), 49.3°, 1.850 Å, rel. 13
- (2 4 2), 69.0°, 1.361 Å, rel. 19
- (4 2 2), 79.7°, 1.203 Å, rel. 14
- (2 2 4), 79.8°, 1.202 Å, rel. 13


Theoretical X-ray powder pattern
Compound: Ta5Nb2Ir
Radiation: Cu Ka
Structure: a GGA-PBE-relaxed structure
Intensities are scaled so that the largest is 100.

Structure:
```
data_Ta5Nb2Ir
_chemical_formula_sum 'Ta10 Nb4 Ir2'
_cell_length_a 5.5686
_cell_length_b 10.9444
_cell_length_c 4.6640
_cell_angle_alpha 90.00
_cell_angle_beta 90.00
_cell_angle_gamma 90.00
_symmetry_space_group_name_H-M 'P b a m'
_symmetry_Int_Tables_number 55
loop_
_symmetry_equiv_pos_as_xyz
'x,y,z'
'-x,-y,-z'
'-x,-y,z'
'x,y,-z'
'x+1/2,-y+1/2,-z'
'-x+1/2,y+1/2,z'
'-x+1/2,y+1/2,-z'
'x+1/2,-y+1/2,z'
loop_
_atom_site_label
_atom_site_type_symbol
_atom_site_fract_x
_atom_site_fract_y
_atom_site_fract_z
Ta1 Ta 0.0000 0.0000 0.0000
Ta2 Ta 0.1402 0.2533 0.0000
Ta3 Ta 0.1628 0.6145 0.5000
Nb1 Nb 0.1634 0.8730 0.5000
Ir1 Ir 0.0000 0.5000 0.0000
```

Most intense lines, 10° ≤ 2θ ≤ 90°, sorted by position:
- (2 2 0), 36.2°, 2.482 Å, rel. 12
- (2 0 1), 37.6°, 2.391 Å, rel. 19
- (0 4 1), 38.1°, 2.360 Å, rel. 94
- (0 0 2), 38.6°, 2.334 Å, rel. 100
- (2 3 0), 40.8°, 2.213 Å, rel. 26
- (2 2 1), 41.2°, 2.191 Å, rel. 20
- (2 4 0), 46.5°, 1.952 Å, rel. 10
- (2 3 2), 57.4°, 1.605 Å, rel. 19
- (0 4 3), 69.5°, 1.352 Å, rel. 16
- (2 7 1), 72.2°, 1.309 Å, rel. 11
- (4 2 1), 73.0°, 1.296 Å, rel. 9
- (0 8 2), 81.6°, 1.180 Å, rel. 10


Please write out number 4 again, unchanged.
Theoretical X-ray powder pattern
Compound: Ta5Nb2Ir
Radiation: Cu Ka
Structure: a GGA-PBE-relaxed structure
Intensities are scaled so that the largest is 100.

Structure:
```
data_Ta5Nb2Ir
_chemical_formula_sum 'Ta10 Nb4 Ir2'
_cell_length_a 5.5686
_cell_length_b 10.9444
_cell_length_c 4.6640
_cell_angle_alpha 90.00
_cell_angle_beta 90.00
_cell_angle_gamma 90.00
_symmetry_space_group_name_H-M 'P b a m'
_symmetry_Int_Tables_number 55
loop_
_symmetry_equiv_pos_as_xyz
'x,y,z'
'-x,-y,-z'
'-x,-y,z'
'x,y,-z'
'x+1/2,-y+1/2,-z'
'-x+1/2,y+1/2,z'
'-x+1/2,y+1/2,-z'
'x+1/2,-y+1/2,z'
loop_
_atom_site_label
_atom_site_type_symbol
_atom_site_fract_x
_atom_site_fract_y
_atom_site_fract_z
Ta1 Ta 0.0000 0.0000 0.0000
Ta2 Ta 0.1402 0.2533 0.0000
Ta3 Ta 0.1628 0.6145 0.5000
Nb1 Nb 0.1634 0.8730 0.5000
Ir1 Ir 0.0000 0.5000 0.0000
```

Most intense lines, 10° ≤ 2θ ≤ 90°, sorted by position:
- (2 2 0), 36.2°, 2.482 Å, rel. 12
- (2 0 1), 37.6°, 2.391 Å, rel. 19
- (0 4 1), 38.1°, 2.360 Å, rel. 94
- (0 0 2), 38.6°, 2.334 Å, rel. 100
- (2 3 0), 40.8°, 2.213 Å, rel. 26
- (2 2 1), 41.2°, 2.191 Å, rel. 20
- (2 4 0), 46.5°, 1.952 Å, rel. 10
- (2 3 2), 57.4°, 1.605 Å, rel. 19
- (0 4 3), 69.5°, 1.352 Å, rel. 16
- (2 7 1), 72.2°, 1.309 Å, rel. 11
- (4 2 1), 73.0°, 1.296 Å, rel. 9
- (0 8 2), 81.6°, 1.180 Å, rel. 10


What is the formula in the first record? CeTh5Sn3